Mg16Al12Tl: computed X-ray diffraction stick pattern (λ = 1.5418 Å (Cu Kα)), based on a PBE-relaxed structure.
Intensities are scaled so that the largest is 100.

Structural model:
a b c (Å): 9.128 9.128 9.121
angles (deg): 109.28 109.28 109.13
Element x y z (fractional)
Mg: 0.000 0.000 0.000
Mg: 0.000 0.402 0.027
Mg: 0.002 0.002 0.345
Mg: 0.004 0.655 0.350
Mg: 0.007 0.689 0.744
Mg: 0.288 0.599 0.943
Mg: 0.314 0.314 0.056
Mg: 0.321 0.715 0.663
Mg: 0.343 0.343 0.679
Mg: 0.397 0.681 0.341
Mg: 0.402 0.000 0.027
Mg: 0.599 0.288 0.943
Mg: 0.655 0.004 0.350
Mg: 0.681 0.397 0.341
Mg: 0.689 0.007 0.744
Mg: 0.715 0.321 0.663
Al: 0.003 0.190 0.711
Al: 0.177 0.360 0.335
Al: 0.182 0.812 0.157
Al: 0.190 0.003 0.711
Al: 0.360 0.177 0.335
Al: 0.369 0.999 0.527
Al: 0.633 0.633 0.168
Al: 0.636 0.825 0.991
Al: 0.812 0.182 0.157
Al: 0.825 0.636 0.991
Al: 0.826 0.826 0.526
Al: 0.999 0.369 0.527
Tl: 0.610 0.610 0.636

Most intense lines, 10° ≤ 2θ ≤ 90°, by intensity:
d (Å), 2θ (°), intensity
2.502, 35.89, 100.0
2.481, 36.21, 88.2
7.440, 11.90, 83.8
2.490, 36.06, 82.6
4.304, 20.63, 76.8
7.506, 11.79, 75.3
2.245, 40.17, 43.4
5.284, 16.78, 40.2
2.065, 43.84, 37.0
2.814, 31.80, 35.6